Entry 1:
Structure and simulated XRD peak list of Ho2ErTl3Se6 (a structure optimized by DFT (GGA-PBE); Cu Kα X-rays).
Intensities are scaled so that the largest is 100.

abc: 7.211 7.211 8.140
angles: 98.49 98.49 120.01
Fractional coordinates of all 12 atoms:
Ho  0.167  0.833  0.000
Ho  0.833  0.167  0.000
Er  0.500  0.500  0.000
Tl  0.000  0.000  0.500
Tl  0.333  0.667  0.500
Tl  0.667  0.333  0.500
Se  0.100  0.432  0.797
Se  0.235  0.235  0.203
Se  0.432  0.100  0.797
Se  0.568  0.900  0.203
Se  0.765  0.765  0.797
Se  0.900  0.568  0.203

Most intense lines, 2θ = 5–70°, by intensity:
two_theta	I/Imax
29.1	100
39.8	38
43.5	35
25.9	21
53.2	19
65.7	14
22.9	12
60.4	11
49.7	10
46.4	8
46.7	6
61.3	5

***

Entry 2:
Structure and simulated XRD peak list of YHo2ErSe6 (a structure optimized by DFT (GGA-PBE); Cu Kα X-rays).
Intensities are scaled so that the largest is 100.

abc: 7.676 7.676 7.676
angles: 55.69 55.69 55.69
Fractional coordinates of all 10 atoms:
Y  0.000  0.000  0.000
Ho  0.304  0.304  0.304
Ho  0.805  0.805  0.805
Er  0.499  0.499  0.499
Se  0.097  0.404  0.706
Se  0.209  0.901  0.595
Se  0.404  0.706  0.097
Se  0.595  0.209  0.901
Se  0.706  0.097  0.404
Se  0.901  0.595  0.209

Most intense lines, 2θ = 5–70°, by intensity:
two_theta	I/Imax
37.5	100
28.5	66
43.7	63
23.3	51
17.0	44
34.3	34
24.8	33
42.8	31
58.9	26
49.2	17
49.3	14
62.1	12